Entry 1:
For PmB4, a crystal structure in Alexandria, relaxed with PBE gives the calculated powder X-ray diffraction pattern in this record (a wavelength of 1.5418 Å).
Intensities are scaled so that the largest is 100.

Structural model:
```
20
Lattice="7.2079 0.0000 0.0000 0.0000 7.2079 0.0000 0.0000 0.0000 4.0957" Properties=species:S:1:pos:R:3 pbc="T T T"
Pm 1.3163 2.2877 0.0000
Pm 2.2877 5.8917 0.0000
Pm 4.9202 1.3163 0.0000
Pm 5.8917 4.9202 0.0000
B 0.0000 0.0000 0.8387
B 0.0000 0.0000 3.2571
B 0.2813 5.9485 2.0479
B 0.6319 4.2359 2.0479
B 1.2594 0.2813 2.0479
B 2.3445 3.8853 2.0479
B 2.9720 0.6319 2.0479
B 3.3227 2.3445 2.0479
B 3.6040 3.6040 0.8387
B 3.6040 3.6040 3.2571
B 3.8853 4.8634 2.0479
B 4.2359 6.5760 2.0479
B 4.8634 3.3227 2.0479
B 5.9485 6.9266 2.0479
B 6.5760 2.9720 2.0479
B 6.9266 1.2594 2.0479
```

Top 6 peaks for 10° ≤ 2θ ≤ 80°, low angle first:
- 21.70°, I = 56.2
- 24.70°, I = 37.2
- 27.67°, I = 75.8
- 33.11°, I = 54.9
- 35.44°, I = 100.0
- 57.30°, I = 34.3

***

Entry 2:
For AgI3O8, a crystal structure in Alexandria, relaxed with PBE gives the calculated powder X-ray diffraction pattern in this record (a wavelength of 1.5418 Å).
Intensities are scaled so that the largest is 100.

Structural model:
```
48
Lattice="-4.1209 4.1209 12.0794 4.1209 -4.1209 12.0794 4.1209 4.1209 -12.0794" Properties=species:S:1:pos:R:3 pbc="T T T"
Ag 4.1209 0.0000 2.8215
Ag 0.0000 0.0000 3.1080
Ag 4.1209 0.0000 9.2579
Ag 0.0000 0.0000 21.0507
I 2.0606 -1.7867 5.2841
I 5.9076 -2.0603 6.7953
I 2.0660 -1.8405 11.3695
I 2.2804 2.0549 0.7099
I 0.0000 0.0000 8.2278
I 6.1812 1.7867 5.2841
I 2.3342 2.0603 6.7953
I 0.0000 4.1209 2.2474
I 0.0000 0.0000 15.9309
I 2.0549 5.9613 -0.7099
I 1.8405 2.0660 12.7892
I 0.0000 4.1209 9.8320
O 6.2718 -0.5958 1.7692
O 2.7322 0.3981 -1.1006
O 4.1198 -1.8971 7.0707
O 4.4675 2.7347 -5.0126
O 1.9700 0.5958 1.7692
O 4.8254 1.9571 -2.1133
O 3.5251 -2.1509 10.3101
O 2.2238 0.0011 5.0087
O 6.0180 -0.0011 5.0087
O 2.1299 3.4854 -3.9642
O 4.0710 2.1838 0.9656
O 3.7228 -1.3887 13.1800
O 1.9910 0.6355 8.1151
O 4.7564 2.1299 3.9642
O -0.6532 2.1054 4.1619
O 1.9371 -0.0499 11.1137
O -0.3466 1.3862 7.0668
O 2.1838 4.1708 -0.9656
O 1.9571 3.4164 2.1133
O 4.1220 1.8971 7.0707
O 2.7347 3.7743 5.0126
O 2.1638 0.7045 14.1926
O -0.7045 2.1638 9.9661
O 4.7167 2.1509 10.3101
O 0.3981 5.5096 1.1006
O 2.0155 3.4677 7.9174
O 1.3862 0.3466 17.0920
O 0.0499 1.9371 13.0450
O -0.6355 1.9910 16.0436
O 1.3887 3.7228 10.9788
O -2.0155 4.7741 7.9174
O 0.6532 6.1364 4.1619
```

Top 6 peaks for 10° ≤ 2θ ≤ 80°, low angle first:
- 21.19°, I = 48.4
- 26.18°, I = 100.0
- 30.68°, I = 37.6
- 43.94°, I = 23.4
- 46.00°, I = 20.4
- 51.87°, I = 29.6

***

Entry 3:
For CdTcClO4, a crystal structure in Alexandria, relaxed with PBE gives the calculated powder X-ray diffraction pattern in this record (a wavelength of 1.5418 Å).
Intensities are scaled so that the largest is 100.

Structural model:
```
14
Lattice="4.9637 -3.7702 0.0000 4.9637 3.7702 0.0000 -4.4138 0.0000 8.1586" Properties=species:S:1:pos:R:3 pbc="T T T"
Cd 0.8387 0.0000 1.5678
Cd 4.6748 0.0000 6.5907
Tc 0.7227 0.0000 5.5521
Tc 4.7908 0.0000 2.6064
Cl -2.7917 0.0000 7.3439
Cl 8.3052 0.0000 0.8147
O 0.0149 1.4107 6.2742
O 0.3785 0.0000 3.8414
O 3.0658 0.0000 2.3579
O 5.4986 1.4107 1.8844
O 0.0149 -1.4107 6.2742
O 2.4477 0.0000 5.8006
O 5.1350 0.0000 4.3172
O 5.4986 -1.4107 1.8844
```

Top 6 peaks for 10° ≤ 2θ ≤ 80°, low angle first:
- 15.95°, I = 55.3
- 17.91°, I = 84.2
- 21.79°, I = 52.2
- 22.51°, I = 46.6
- 23.60°, I = 100.0
- 29.73°, I = 66.2

***

Entry 4:
For CeTm2Te, a crystal structure in Alexandria, relaxed with PBE gives the calculated powder X-ray diffraction pattern in this record (a wavelength of 1.5418 Å).
Intensities are scaled so that the largest is 100.

Structural model:
```
4
Lattice="3.7663 0.0000 0.0000 -1.8832 3.2617 0.0000 0.0000 0.0000 10.0472" Properties=species:S:1:pos:R:3 pbc="T T T"
Ce 0.0000 0.0000 0.0000
Tm 0.0000 2.1745 2.8628
Tm 0.0000 2.1745 7.1845
Te 0.0000 0.0000 5.0236
```

Top 6 peaks for 10° ≤ 2θ ≤ 80°, low angle first:
- 27.34°, I = 30.9
- 32.74°, I = 100.0
- 35.75°, I = 12.4
- 48.33°, I = 25.0
- 59.60°, I = 18.0
- 61.55°, I = 15.4